# CaZnO3
Simulated X-ray powder pattern, Cu Kα (λ = 1.5418 Å). Input: the PBE geometry in the Materials Project.
Kinematic intensities with the Lorentz-polarization factor, no thermal factor.

Structural model:
a b c (Å): 3.8766 3.8766 3.8766
angles (deg): 90.00 90.00 90.00
Fractional coordinates of all 5 atoms:
1 Ca 0.0000 0.0000 0.0000
2 Zn 0.5000 0.5000 0.5000
3 O 0.0000 0.5000 0.5000
4 O 0.5000 0.0000 0.5000
5 O 0.5000 0.5000 0.0000

Main lines, sorted by position (10° ≤ 2θ ≤ 80°):
2θ 22.94, d = 3.877 Å, intensity 28, (1 0 0)
2θ 32.67, d = 2.741 Å, intensity 100, (1 1 0)
2θ 40.30, d = 2.238 Å, intensity 1, (1 1 1)
2θ 46.87, d = 1.938 Å, intensity 47, (2 0 0)
2θ 52.80, d = 1.734 Å, intensity 11, (2 1 0)
2θ 58.30, d = 1.583 Å, intensity 37, (2 1 1)
2θ 68.45, d = 1.371 Å, intensity 26, (2 2 0)
2θ 73.25, d = 1.292 Å, intensity 4, (3 0 0)
2θ 77.93, d = 1.226 Å, intensity 15, (3 1 0)